Entry 1:
The following is a calculated X-ray diffraction stick pattern of ZnCoPC. It was derived from a DFT-relaxed cell (GGA-PBE, Alexandria), using CuKα.
Peak positions follow from Bragg's law for the DFT cell and can differ from measured ones.

Top 6 peaks for 2θ = 10–80°, low angle first:
- 18.8 deg, intensity 100, hkl 0 0 1
- 38.0 deg, intensity 39, hkl 0 0 2
- 39.2 deg, intensity 77, hkl 1 1 0
- 43.8 deg, intensity 60, hkl 1 1 1
- 44.0 deg, intensity 35, hkl 0 2 0
- 55.8 deg, intensity 54, hkl 1 1 2

Cell and atoms:
a b c (Å): 2.766 4.116 4.730
angles (deg): 90.00 90.00 90.00
Element x y z (fractional)
1 Zn 0.000 0.000 0.000
2 Co 0.500 0.500 0.968
3 P 0.500 0.500 0.417
4 C 0.000 0.500 0.640

Entry 2:
The following is a calculated X-ray diffraction stick pattern of VCo2PdC. It was derived from a DFT-relaxed cell (GGA-PBE, Alexandria), using CuKα.
Peak positions follow from Bragg's law for the DFT cell and can differ from measured ones.

Top 6 peaks for 2θ = 10–80°, low angle first:
- 32.6 deg, intensity 12, hkl 1 0 1
- 40.6 deg, intensity 100, hkl 1 1 1
- 45.4 deg, intensity 20, hkl 0 0 2
- 48.1 deg, intensity 34, hkl 2 0 0
- 68.3 deg, intensity 22, hkl 2 0 2
- 70.4 deg, intensity 10, hkl 2 2 0

Cell and atoms:
a b c (Å): 3.781 3.781 3.994
angles (deg): 90.00 90.00 90.00
Element x y z (fractional)
1 V 0.000 0.000 0.000
2 Co 0.000 0.500 0.500
3 Co 0.500 0.000 0.500
4 Pd 0.500 0.500 0.000
5 C 0.000 0.000 0.500